[1]
Structure and simulated powder XRD pattern of Mg3SnI8 (DFT lattice parameters and positions (PBE); λ = 1.5418 Å (Cu Kα)).
Kinematic intensities with the Lorentz-polarization factor, no thermal factor.

Main lines, sorted by position (10 to 90 degrees two-theta):
11.5°, I 448; 23.1°, I 343; 24.9°, I 315; 25.1°, I 634; 28.3°, I 1000; 28.7°, I 498; 39.6°, I 357; 41.8°, I 348

Atomic structure:
```
Mg3SnI8
1.0
7.4799 -4.3203 0.0000
7.4799 4.3203 0.0000
-5.1271 0.0000 7.6927
Mg Sn I
3 1 8
direct
0.0000 0.0000 0.0000
0.0000 0.5000 0.0000
0.5000 0.0000 0.0000
0.5000 0.5000 0.0000
0.2225 0.7537 0.2237
0.2402 0.2402 0.2147
0.2462 0.2462 0.7763
0.2463 0.7775 0.7763
0.7537 0.2225 0.2237
0.7538 0.7538 0.2237
0.7598 0.7598 0.7853
0.7775 0.2463 0.7763
```

[2]
Structure and simulated powder XRD pattern of AcPm9Al2 (DFT lattice parameters and positions (PBE); λ = 1.5418 Å (Cu Kα)).
Kinematic intensities with the Lorentz-polarization factor, no thermal factor.

Main lines, sorted by position (10 to 90 degrees two-theta):
31.0°, I 1000; 35.2°, I 151; 36.2°, I 346; 51.4°, I 207; 52.2°, I 122; 60.6°, I 103; 61.9°, I 278; 64.5°, I 105

Atomic structure:
```
AcPm9Al2
1.0
4.9607 0.0000 0.0000
0.0000 4.9607 0.0000
0.0000 0.0000 15.2829
Ac Pm Al
1 9 2
direct
0.0000 0.0000 0.0000
0.0000 0.5000 0.1844
0.0000 0.5000 0.5000
0.0000 0.5000 0.8156
0.5000 0.0000 0.1844
0.5000 0.0000 0.5000
0.5000 0.0000 0.8156
0.5000 0.5000 0.0000
0.5000 0.5000 0.3452
0.5000 0.5000 0.6548
0.0000 0.0000 0.3410
0.0000 0.0000 0.6590
```